For La8RuPtRh2, a PBE-relaxed structure gives the computed powder X-ray diffraction pattern in this record (Cu Ka).

Cell lengths 6.7687, 8.5851, 6.8555 Å; angles 90.00, 90.01, 90.00 degrees
Atoms (fractional coordinates):
La 0.2268 0.0000 0.3382
La 0.2352 0.5000 0.3321
La 0.2697 0.2594 0.8333
La 0.2697 0.7406 0.8333
La 0.7303 0.2594 0.1667
La 0.7303 0.7406 0.1667
La 0.7648 0.5000 0.6679
La 0.7732 0.0000 0.6618
Ru 0.5000 0.5000 0.0000
Pt 0.5000 0.0000 0.0000
Rh 0.0000 0.2500 0.5000
Rh 0.0000 0.7500 0.5000

The 8 most intense peaks (15 to 90 degrees two-theta), low angle first:
2θ (°), I/Imax, index
18.42, 51, 1 0 -1
27.84, 100, 1 2 1
29.20, 45, 1 0 -2
36.25, 61, 2 2 1
37.34, 27, 2 0 -2
42.11, 25, 0 4 0
44.94, 39, 0 2 3
47.41, 21, 3 2 -1